# 1
Calculated powder diffractogram of Ca5H2WN4 for λ = 1.5418 Å (Cu Kα), from a structure optimized by DFT (PBE).
Neutral-atom scattering factors, no anomalous dispersion.

Crystal structure
```
12
Lattice="7.0557 0.0000 0.0000 0.0000 4.8849 2.8812 0.0000 -4.8849 2.8812" Properties=species:S:1:pos:R:3 pbc="T T T"
Ca 0.0000 0.0000 0.0000
Ca 1.8666 -1.7154 2.6294
Ca 1.8666 1.7154 2.6294
Ca 5.1891 -1.7154 2.6294
Ca 5.1891 1.7154 2.6294
H 0.0000 -2.6999 3.9287
H 0.0000 2.6999 3.9287
W 3.5278 0.0000 5.5260
N 2.0764 0.0000 0.9612
N 3.5278 -1.5913 4.4501
N 3.5278 1.5913 4.4501
N 4.9792 0.0000 0.9612
```

Main lines, sorted by position (2θ from 10° to 90°):
2θ = 12.5°, rel. 63.0
2θ = 17.9°, rel. 41.7
2θ = 21.9°, rel. 39.6
2θ = 31.1°, rel. 100.0
2θ = 31.6°, rel. 62.2
2θ = 44.6°, rel. 36.3


# 2
Calculated powder diffractogram of BaNp4Pd3Se12 for λ = 1.5418 Å (Cu Kα), from a structure optimized by DFT (PBE).
Neutral-atom scattering factors, no anomalous dispersion.

Crystal structure
```
20
Lattice="-5.1298 5.1298 5.1298 5.1298 -5.1298 5.1298 5.1298 5.1298 -5.1298" Properties=species:S:1:pos:R:3 pbc="T T T"
Ba 0.0000 0.0000 0.0000
Np 2.5649 2.5649 -2.5649
Np 2.5649 -2.5649 2.5649
Np -2.5649 2.5649 2.5649
Np 2.5649 2.5649 2.5649
Pd 5.1298 0.0000 0.0000
Pd 0.0000 5.1298 0.0000
Pd 0.0000 0.0000 5.1298
Se 5.1298 3.4873 -1.9046
Se 3.2252 0.0000 1.6425
Se 7.0345 0.0000 1.6425
Se 1.6425 3.2252 0.0000
Se 3.4873 -1.9046 5.1298
Se 0.0000 1.6425 3.2252
Se 5.1298 3.4873 1.9046
Se 1.6425 7.0345 0.0000
Se 3.4873 1.9046 5.1298
Se -1.9046 5.1298 3.4873
Se 1.9046 5.1298 3.4873
Se 0.0000 1.6425 7.0345
```

Main lines, sorted by position (2θ from 10° to 90°):
2θ = 24.5°, rel. 100.0
2θ = 35.0°, rel. 35.8
2θ = 43.2°, rel. 95.6
2θ = 56.7°, rel. 28.8
2θ = 68.4°, rel. 28.7
2θ = 79.2°, rel. 31.7


# 3
Calculated powder diffractogram of Ti2GaSn for λ = 1.5418 Å (Cu Kα), from a structure optimized by DFT (PBE).
Neutral-atom scattering factors, no anomalous dispersion.

Crystal structure
```
8
Lattice="3.8921 0.0000 0.0000 0.0000 3.8265 0.0000 0.0000 0.0000 10.0142" Properties=species:S:1:pos:R:3 pbc="T T T"
Ti 0.0000 0.0000 0.0000
Ti 0.0000 1.9133 5.0071
Ti 1.9461 0.0000 2.6808
Ti 1.9461 1.9133 7.6879
Ga 1.9461 0.0000 5.2939
Ga 1.9461 1.9133 0.2868
Sn 0.0000 0.0000 7.2400
Sn 0.0000 1.9133 2.2328
```

Main lines, sorted by position (2θ from 10° to 90°):
2θ = 24.9°, rel. 30.5
2θ = 34.1°, rel. 100.0
2θ = 35.9°, rel. 36.2
2θ = 42.8°, rel. 90.4
2θ = 46.7°, rel. 24.6
2θ = 47.5°, rel. 23.3


# 4
Calculated powder diffractogram of Pm2NdDy4Er for λ = 1.5418 Å (Cu Kα), from a structure optimized by DFT (PBE).
Neutral-atom scattering factors, no anomalous dispersion.

Crystal structure
```
16
Lattice="6.8238 0.0000 0.0000 3.4092 8.8886 0.0000 3.4118 1.0201 8.8416" Properties=species:S:1:pos:R:3 pbc="T T T"
Pm 0.0000 0.0000 0.0000
Pm 1.7059 0.5100 4.4208
Pm 1.7046 4.4443 0.0000
Pm 3.4119 0.0000 0.0000
Nd 5.1178 0.5100 4.4208
Nd 5.1165 4.4443 0.0000
Dy 3.4100 2.5209 2.2493
Dy 5.1061 3.0190 6.5988
Dy 5.1268 6.8930 2.2457
Dy 6.8205 7.3879 6.5923
Dy 6.8244 2.5208 2.2493
Dy 8.5180 3.0157 6.5958
Dy 8.5387 6.8896 2.2428
Dy 10.2349 7.3878 6.5923
Er 3.4105 4.9543 4.4208
Er 6.8224 4.9543 4.4208
```

Main lines, sorted by position (2θ from 10° to 90°):
2θ = 26.9°, rel. 45.0
2θ = 30.2°, rel. 100.0
2θ = 40.9°, rel. 44.2
2θ = 40.9°, rel. 44.1
2θ = 61.0°, rel. 27.1
2θ = 64.4°, rel. 22.9